Structure and calculated powder X-ray diffraction pattern of Ga2MoPd (DFT lattice parameters and positions (GGA-PBE); λ = 1.5418 Å (Cu Kα)).

Structural model:
```
16
Lattice="6.305 0.000 0.000 0.000 6.305 0.000 0.000 0.000 6.305" Properties=species:S:1:pos:R:3 pbc="T T T"
Ga 0.000 0.000 0.000
Ga 0.000 3.152 3.152
Ga 1.576 1.576 1.576
Ga 1.576 4.729 4.729
Ga 3.152 0.000 3.152
Ga 3.152 3.152 0.000
Ga 4.729 1.576 4.729
Ga 4.729 4.729 1.576
Mo 0.000 0.000 3.152
Mo 0.000 3.152 0.000
Mo 3.152 0.000 0.000
Mo 3.152 3.152 3.152
Pd 1.576 1.576 4.729
Pd 1.576 4.729 1.576
Pd 4.729 1.576 1.576
Pd 4.729 4.729 4.729
```

Main lines, by angle (10 to 80 degrees two-theta):
d/Å, two_theta, I/Imax
3.640, 24.45, 4
2.229, 40.47, 100
1.901, 47.85, 2
1.576, 58.56, 16
1.446, 64.42, 1
1.287, 73.60, 33
1.213, 78.89, 1

***

Structure and calculated powder X-ray diffraction pattern of PrGa40Mo8 (DFT lattice parameters and positions (GGA-PBE); λ = 1.5418 Å (Cu Kα)).

Structural model:
```
49
Lattice="7.035 4.062 5.135 -7.035 4.062 5.135 0.000 -8.124 5.135" Properties=species:S:1:pos:R:3 pbc="T T T"
Pr 0.000 0.000 0.000
Ga -3.518 -2.031 5.135
Ga -1.252 -2.278 3.347
Ga -4.726 -3.929 8.255
Ga -2.580 -4.227 6.617
Ga -0.343 -4.444 5.050
Ga -5.766 2.128 7.149
Ga -3.677 2.519 5.050
Ga -1.347 2.223 3.347
Ga -4.951 0.120 8.786
Ga -1.719 0.159 5.246
Ga -2.589 -1.289 7.792
Ga 1.040 -6.057 7.149
Ga -4.020 -1.925 10.353
Ga 0.722 -1.568 5.246
Ga -0.178 -2.887 7.612
Ga -2.411 1.597 7.612
Ga 2.599 0.055 3.347
Ga -2.371 4.348 6.617
Ga 0.997 1.409 5.246
Ga -3.518 2.031 10.269
Ga 0.000 4.062 5.135
Ga 0.000 0.000 7.702
Ga -0.997 -1.409 10.158
Ga 2.371 -4.348 8.786
Ga -2.599 -0.055 12.056
Ga 2.411 -1.597 7.792
Ga 0.178 2.887 7.792
Ga -0.722 1.568 10.158
Ga 4.020 1.925 5.050
Ga -1.040 6.057 8.255
Ga 2.589 1.289 7.612
Ga 1.719 -0.159 10.158
Ga 4.951 -0.120 6.617
Ga 1.347 -2.223 12.056
Ga 3.677 -2.519 10.353
Ga 5.766 -2.128 8.255
Ga 0.343 4.444 10.353
Ga 2.580 4.227 8.786
Ga 4.726 3.929 7.149
Ga 1.252 2.278 12.056
Mo -4.208 0.179 6.235
Mo 0.000 0.000 3.275
Mo -2.258 -3.555 9.169
Mo 1.949 -3.733 6.235
Mo -1.949 3.733 9.169
Mo 2.258 3.555 6.235
Mo 0.000 0.000 12.128
Mo 4.208 -0.179 9.169
```

Main lines, by angle (10 to 80 degrees two-theta):
d/Å, two_theta, I/Imax
4.062, 21.88, 37
2.902, 30.81, 56
2.361, 38.11, 39
2.277, 39.58, 82
2.262, 39.85, 69
2.168, 41.66, 100
2.073, 43.66, 85
2.031, 44.62, 75

***

Structure and calculated powder X-ray diffraction pattern of GaMoPt2 (DFT lattice parameters and positions (GGA-PBE); λ = 1.5418 Å (Cu Kα)).

Structural model:
```
16
Lattice="6.279 0.000 0.000 0.000 6.279 0.000 0.000 0.000 6.279" Properties=species:S:1:pos:R:3 pbc="T T T"
Ga 0.000 0.000 0.000
Ga 0.000 3.140 3.140
Ga 3.140 0.000 3.140
Ga 3.140 3.140 0.000
Mo 1.570 1.570 1.570
Mo 1.570 4.709 4.709
Mo 4.709 1.570 4.709
Mo 4.709 4.709 1.570
Pt 0.000 0.000 3.140
Pt 0.000 3.140 0.000
Pt 1.570 1.570 4.709
Pt 1.570 4.709 1.570
Pt 3.140 0.000 0.000
Pt 3.140 3.140 3.140
Pt 4.709 1.570 1.570
Pt 4.709 4.709 4.709
```

Main lines, by angle (10 to 80 degrees two-theta):
d/Å, two_theta, I/Imax
3.625, 24.56, 18
2.220, 40.64, 100
1.893, 48.06, 9
1.570, 58.82, 17
1.441, 64.71, 4
1.282, 73.95, 34
1.208, 79.28, 3